# CoH3
Calculated powder X-ray diffraction pattern, Cu Kα. Input: a cell relaxed with PBE.

Main lines, in order of rising 2θ (2θ from 10° to 90°):
2theta	I/Imax
34.34	100
49.35	68
61.51	25
72.38	11
82.62	27

Atomic structure:
abc: 2.611 2.611 2.611
angles: 90.00 90.00 90.00
Sites, in units of the cell vectors:
Co: 0.000 0.000 0.000
H: 0.000 0.500 0.500
H: 0.500 0.000 0.500
H: 0.500 0.500 0.000